Calculated X-ray powder pattern of Li4AgAs2 for Cu Kα, 1.54184 Å, from a structure optimized by DFT (PBE).
Kinematic intensities with the Lorentz-polarization factor, no thermal factor.

Principal peaks in the range 5 to 70 degrees two-theta, sorted by position:
2theta  I/Imax  hkl
10.44  16  0 0 3
23.96  100  1 0 1
24.72  43  0 1 2
31.66  14  0 0 9
41.66  34  1 1 0
42.95  31  1 0 10
46.11  18  0 1 11
48.63  14  0 2 1
53.26  19  1 1 9
65.92  11  2 1 1

```
data_Li4AgAs2
_chemical_formula_sum 'Li12 Ag3 As6'
_symmetry_space_group_name_H-M 'R -3 m'
_symmetry_Int_Tables_number 166
_symmetry_space_group_name_Hall '-R 3 2"'
_cell_length_a 4.3357
_cell_length_b 4.3357
_cell_length_c 25.4314
_cell_angle_alpha 90.00
_cell_angle_beta 90.00
_cell_angle_gamma 120.00
loop_
_atom_site_label
_atom_site_fract_x
_atom_site_fract_y
_atom_site_fract_z
Li1 0.0000 0.0000 0.1004
Li2 0.0000 0.0000 0.2992
Ag1 0.0000 0.0000 0.5000
As1 0.0000 0.0000 0.4023
```